Entry 1:
For Al4Ga5Ag, DFT lattice parameters and positions (GGA-PBE) gives the computed X-ray powder pattern in this record (Cu Ka).

Structure:
Cell: 4.2565 7.2438 7.2938 Å, 60.23 73.43 88.08°
Space group P-1 (No. 2)
Inequivalent atoms, fractional coordinates:
Al (0.0214, 0.2564, 0.4562) [2 per cell]
Al (0.3224, 0.5849, 0.8527) [2 per cell]
Ga (0.1523, 0.7183, 0.1675) [2 per cell]
Ga (0.2123, 0.1231, 0.1273) [2 per cell]
Ga (0.5000, 0.5000, 0.5000) [1 per cell]
Ag (0.5000, 0.0000, 0.5000) [1 per cell]

Most intense lines, 2θ from 5° to 70°, by intensity:
d (Å)  2θ (°)  I/Imax  (hkl)
2.327  38.7  100  1 2 0
3.619  24.6  94  0 2 1
2.126  42.5  81  2 0 1
2.879  31.1  80  1 0 2
2.960  30.2  78  1 0 -1
2.237  40.3  77  1 -2 1
2.269  39.7  68  1 2 3
2.007  45.2  56  0 0 3
2.257  39.9  52  -1 2 2
3.124  28.6  41  -1 1 1
2.372  37.9  31  0 3 1
2.361  38.1  27  0 3 2

Entry 2:
For CaMn10N8, DFT lattice parameters and positions (GGA-PBE) gives the computed X-ray powder pattern in this record (Cu Ka).

Structure:
Cell: 15.9714 3.8442 7.5379 Å, 90.00 116.58 90.00°
Space group C2/m (No. 12)
Inequivalent atoms, fractional coordinates:
Ca (0.0000, 0.0000, 0.0000) [2 per cell]
Mn (0.0384, 0.5000, 0.3642) [4 per cell]
Mn (0.0858, 0.0000, 0.6739) [4 per cell]
Mn (0.1792, 0.0000, 0.4198) [4 per cell]
Mn (0.1806, 0.5000, 0.0720) [4 per cell]
Mn (0.2002, 0.5000, 0.7204) [4 per cell]
N (0.0460, 0.0000, 0.3634) [4 per cell]
N (0.0996, 0.5000, 0.7913) [4 per cell]
N (0.1694, 0.0000, 0.1406) [4 per cell]
N (0.1789, 0.5000, 0.4587) [4 per cell]

Most intense lines, 2θ from 5° to 70°, by intensity:
d (Å)  2θ (°)  I/Imax  (hkl)
2.486  36.1  100  2 0 -3
1.922  47.3  39  0 2 0
2.323  38.8  37  5 1 -2
6.741  13.1  35  0 0 1
2.635  34.0  22  3 1 -2
1.956  46.4  17  8 0 -1
1.520  60.9  15  2 2 -3
1.403  66.7  12  5 1 -5
2.247  40.1  11  0 0 3
2.293  39.3  10  5 1 0
2.005  45.2  10  5 1 -3
1.371  68.4  9  8 2 -1

Entry 3:
For GaH3, DFT lattice parameters and positions (GGA-PBE) gives the computed X-ray powder pattern in this record (Cu Ka).

Structure:
Cell: 2.8457 4.3218 4.5097 Å, 109.70 90.32 90.11°
Space group P1 (No. 1)
Inequivalent atoms, fractional coordinates:
Ga (0.0000, 0.0000, 0.0000) [1 per cell]
H (0.0021, 0.3813, 0.0972) [1 per cell]
H (0.5015, 0.9159, 0.1873) [1 per cell]
H (0.9965, 0.7403, 0.6645) [1 per cell]

Most intense lines, 2θ from 5° to 70°, by intensity:
d (Å)  2θ (°)  I/Imax  (hkl)
4.246  20.9  100  0 0 1
4.069  21.8  87  0 1 0
3.607  24.7  66  0 1 -1
2.846  31.4  36  1 0 0
2.234  40.4  36  1 1 -1
2.541  35.3  24  0 1 1
1.708  53.7  23  1 2 -1
2.371  37.9  21  1 0 -1
2.357  38.2  20  1 0 1
2.336  38.5  19  1 -1 0
2.328  38.7  19  1 1 0
2.213  40.8  16  0 1 -2

Entry 4:
For Nd2DyIn2Hg2, DFT lattice parameters and positions (GGA-PBE) gives the computed X-ray powder pattern in this record (Cu Ka).

Structure:
Cell: 4.9194 4.9194 28.1951 Å, 90.00 90.00 120.00°
Space group R-3m (No. 166, hexagonal axes)
Inequivalent atoms, fractional coordinates:
Nd (0.0000, 0.0000, 0.1274) [6 per cell]
Dy (0.0000, 0.0000, 0.0000) [3 per cell]
In (0.0000, 0.0000, 0.2601) [6 per cell]
Hg (0.0000, 0.0000, 0.3874) [6 per cell]

Most intense lines, 2θ from 5° to 70°, by intensity:
d (Å)  2θ (°)  I/Imax  (hkl)
2.716  33.0  100  0 1 8
2.460  36.5  94  1 1 0
1.823  50.0  34  2 0 8
1.465  63.5  32  1 2 8
9.398  9.4  24  0 0 3
1.494  62.1  24  1 1 15
2.927  30.5  19  1 0 7
3.646  24.4  18  1 0 4
1.420  65.8  17  3 0 0
3.399  26.2  13  0 1 5
1.881  48.4  12  0 0 15
1.628  56.5  11  1 0 16

Entry 5:
For Sr3Si2Rh3, DFT lattice parameters and positions (GGA-PBE) gives the computed X-ray powder pattern in this record (Cu Ka).

Structure:
Cell: 8.0419 14.6514 6.0961 Å, 90.00 90.00 90.00°
Space group Pnma (No. 62)
Inequivalent atoms, fractional coordinates:
Sr (0.0229, 0.1097, 0.1345) [8 per cell]
Sr (0.1713, 0.2500, 0.5964) [4 per cell]
Si (0.1329, 0.5919, 0.3724) [8 per cell]
Rh (0.1521, 0.0386, 0.6146) [8 per cell]
Rh (0.1740, 0.7500, 0.5275) [4 per cell]

Most intense lines, 2θ from 5° to 70°, by intensity:
d (Å)  2θ (°)  I/Imax  (hkl)
2.454  36.6  100  3 0 1
2.925  30.6  75  1 4 1
2.462  36.5  57  1 3 2
2.708  33.1  56  2 4 0
2.850  31.4  47  1 0 2
2.798  32.0  45  1 1 2
2.475  36.3  35  2 4 1
2.249  40.1  30  1 4 2
1.659  55.4  26  3 5 2
2.641  33.9  26  0 5 1
3.272  27.3  25  2 1 1
2.442  36.8  23  0 6 0

Entry 6:
For PrMg3Pd, DFT lattice parameters and positions (GGA-PBE) gives the computed X-ray powder pattern in this record (Cu Ka).

Structure:
Cell: 8.6585 12.6402 4.2987 Å, 90.00 90.00 90.00°
Space group Cmmm (No. 65)
Inequivalent atoms, fractional coordinates:
Pr (0.0000, 0.2104, 0.0000) [4 per cell]
Mg (0.0000, 0.0000, 0.5000) [2 per cell]
Mg (0.0000, 0.5000, 0.0000) [2 per cell]
Mg (0.1955, 0.3748, 0.5000) [8 per cell]
Pd (0.1915, 0.0000, 0.0000) [4 per cell]

Most intense lines, 2θ from 5° to 70°, by intensity:
d (Å)  2θ (°)  I/Imax  (hkl)
2.747  32.6  100  2 2 1
3.572  24.9  76  2 2 0
4.299  20.7  73  0 0 1
2.547  35.2  58  0 4 1
7.143  12.4  45  1 1 0
2.381  37.8  40  3 3 0
2.083  43.4  38  3 3 1
1.442  64.6  33  3 7 1
1.595  57.8  33  3 3 2
2.149  42.0  31  0 0 2
2.427  37.0  29  1 5 0
2.842  31.5  24  1 3 1

Entry 7:
For Ag3Hg3Pd5, DFT lattice parameters and positions (GGA-PBE) gives the computed X-ray powder pattern in this record (Cu Ka).

Structure:
Cell: 8.1404 8.1404 4.3951 Å, 90.00 90.00 120.00°
Space group P-62m (No. 189)
Inequivalent atoms, fractional coordinates:
Ag (0.0000, 0.7891, 0.0000) [3 per cell]
Hg (0.0000, 0.5720, 0.5000) [3 per cell]
Pd (0.0000, 0.3799, 0.0000) [3 per cell]
Pd (0.3333, 0.6667, 0.0000) [2 per cell]

Most intense lines, 2θ from 5° to 70°, by intensity:
d (Å)  2θ (°)  I/Imax  (hkl)
2.279  39.6  100  2 1 1
2.986  29.9  62  1 1 1
2.750  32.6  55  2 0 1
2.198  41.1  39  0 0 2
1.786  51.1  33  3 1 1
1.955  46.4  31  3 1 0
4.070  21.8  28  1 1 0
3.525  25.3  27  2 0 0
2.665  33.6  26  2 1 0
1.461  63.7  25  3 1 2
7.050  12.6  21  1 0 0
1.847  49.3  20  2 2 1

Entry 8:
For Ac3Ge2Rh5, DFT lattice parameters and positions (GGA-PBE) gives the computed X-ray powder pattern in this record (Cu Ka).

Structure:
Cell: 10.6203 10.6203 3.8025 Å, 90.00 90.00 90.00°
Space group P4/mbm (No. 127)
Inequivalent atoms, fractional coordinates:
Ac (0.0000, 0.0000, 0.0000) [2 per cell]
Ac (0.1761, 0.3239, 0.0000) [4 per cell]
Ge (0.1174, 0.6174, 0.0000) [4 per cell]
Rh (0.0000, 0.5000, 0.5000) [2 per cell]
Rh (0.0704, 0.7683, 0.5000) [8 per cell]

Most intense lines, 2θ from 5° to 70°, by intensity:
d (Å)  2θ (°)  I/Imax  (hkl)
2.517  35.7  100  3 1 1
2.576  34.8  53  4 1 0
2.968  30.1  48  2 1 1
2.672  33.5  40  2 2 1
2.375  37.9  30  4 2 0
2.329  38.7  28  3 2 1
3.358  26.5  25  3 1 0
1.901  47.8  24  0 0 2
1.530  60.5  22  4 1 2
1.605  57.4  22  6 0 1
1.643  56.0  17  5 3 1
1.520  60.9  16  5 4 1